For Cs3KAg2P2, a structure optimized by DFT (PBE) gives the theoretical PXRD pattern in this record (Cu Kα (λ = 1.5418 Å)).
Peak positions follow from Bragg's law for the DFT cell and can differ from measured ones.

```
Cs3KAg2P2
1.0
6.6934 0.0000 0.0000
0.0000 6.3307 0.0000
-1.9105 0.0000 6.4678
Cs K Ag P
3 1 2 2
Direct
0.0000 0.0000 0.0000
0.0701 0.5000 0.3756
0.3499 0.0000 0.6611
0.7187 0.5000 0.7067
0.5409 0.2494 0.1936
0.5409 0.7506 0.1936
0.3222 0.5000 0.9440
0.7733 0.0000 0.4345
```

The 12 most intense peaks (2θ from 10° to 80°), by intensity:
d [Å]	2θ (°)	intensity
3.395	26.25	100
2.840	31.50	84
3.267	27.30	69
2.917	30.65	61
3.286	27.13	56
1.773	51.53	55
2.728	32.83	50
2.903	30.80	50
4.523	19.63	33
2.487	36.11	32
1.782	51.27	31
6.468	13.69	30



For CsKAgSb, a structure optimized by DFT (PBE) gives the theoretical PXRD pattern in this record (Cu Kα (λ = 1.5418 Å)).
Peak positions follow from Bragg's law for the DFT cell and can differ from measured ones.

```
CsKAgSb
1.0
6.6850 0.0000 0.0000
0.0000 4.2349 5.5864
0.0000 -4.2349 5.5864
Cs K Ag Sb
2 2 2 2
Direct
0.2500 0.1537 0.8463
0.7500 0.8463 0.1537
0.2500 0.4947 0.1839
0.7500 0.1839 0.4947
0.0000 0.6763 0.6763
0.5000 0.6763 0.6763
0.2500 0.9183 0.4118
0.7500 0.4118 0.9183
```

The 12 most intense peaks (2θ from 10° to 80°), by intensity:
d [Å]	2θ (°)	intensity
3.037	29.41	100
1.866	48.81	49
2.624	34.17	42
3.409	26.14	42
5.586	15.86	40
2.995	29.83	39
6.750	13.12	31
2.375	37.89	30
4.750	18.68	28
3.577	24.89	27
2.737	32.72	25
1.980	45.83	20